The following is a calculated XRD peak list of InSO5. It was derived from the PBE geometry in the Materials Project, using a wavelength of 1.5418 Å.

Peak list (10 most intense, 15 to 90 degrees two-theta, in order of rising 2θ)
two_theta	I (rel.)	index
17.55	66	0 1 1
23.08	38	0 0 2
25.27	100	2 0 1
26.63	58	0 2 0
35.14	22	2 1 2
37.04	31	2 2 1
37.50	23	0 1 3
41.91	18	2 0 3
42.15	18	0 3 1
54.72	20	2 1 4

Cell and atoms:
```
data_InSO5
_cell_length_a 7.926
_cell_length_b 6.696
_cell_length_c 7.706
_cell_angle_alpha 90.00
_cell_angle_beta 90.00
_cell_angle_gamma 90.00
_space_group_name_H-M_alt 'P 1'
_space_group_IT_number 1
loop_
_space_group_symop_operation_xyz
'x,y,z'
loop_
_atom_site_label
_atom_site_type_symbol
_atom_site_fract_x
_atom_site_fract_y
_atom_site_fract_z
In1 In 0.139 0.250 0.240
In2 In 0.361 0.750 0.740
In3 In 0.639 0.250 0.260
In4 In 0.861 0.750 0.760
S1 S 0.123 0.750 0.128
S2 S 0.377 0.250 0.628
S3 S 0.623 0.750 0.372
S4 S 0.877 0.250 0.872
O1 O 0.038 0.250 0.971
O2 O 0.108 0.750 0.651
O3 O 0.128 0.573 0.247
O4 O 0.128 0.927 0.247
O5 O 0.227 0.250 0.515
O6 O 0.273 0.750 0.015
O7 O 0.372 0.073 0.747
O8 O 0.372 0.427 0.747
O9 O 0.392 0.250 0.151
O10 O 0.462 0.750 0.471
O11 O 0.538 0.250 0.529
O12 O 0.608 0.750 0.849
O13 O 0.628 0.573 0.253
O14 O 0.628 0.927 0.253
O15 O 0.727 0.250 0.985
O16 O 0.773 0.750 0.485
O17 O 0.872 0.073 0.753
O18 O 0.872 0.427 0.753
O19 O 0.892 0.250 0.349
O20 O 0.962 0.750 0.029
```